Structure and simulated XRD peak list of Hf4GaRe (DFT lattice parameters and positions (PBE); Cu Kα (weighted mean of Kα1 and Kα2)).

Main lines, by angle (15° ≤ 2θ ≤ 90°):
| Position (°2θ) | d (Å) | I (rel.) |
| --- | --- | --- |
| 34.25 | 2.618 | 100 |
| 38.70 | 2.327 | 27 |
| 42.55 | 2.125 | 38 |
| 43.30 | 2.090 | 27 |
| 59.29 | 1.559 | 14 |
| 60.47 | 1.531 | 20 |
| 65.68 | 1.422 | 14 |
| 68.95 | 1.362 | 20 |
| 78.77 | 1.215 | 12 |
| 86.03 | 1.130 | 11 |

```
Hf4GaRe
1.0
6.719 0.000 0.000
0.000 6.719 0.000
0.000 0.000 5.338
Hf Ga Re
8 2 2
Direct
0.156 0.338 0.000
0.156 0.662 0.500
0.338 0.156 0.500
0.338 0.844 0.000
0.662 0.156 0.000
0.662 0.844 0.500
0.844 0.338 0.500
0.844 0.662 0.000
0.500 0.500 0.250
0.500 0.500 0.750
0.000 0.000 0.250
0.000 0.000 0.750
```

Structure and simulated XRD peak list of TmCo4As2 (DFT lattice parameters and positions (PBE); Cu Kα (weighted mean of Kα1 and Kα2)).

Main lines, by angle (15° ≤ 2θ ≤ 90°):
| Position (°2θ) | d (Å) | I (rel.) |
| --- | --- | --- |
| 27.07 | 3.294 | 17 |
| 35.18 | 2.551 | 28 |
| 36.96 | 2.432 | 100 |
| 39.50 | 2.281 | 38 |
| 43.06 | 2.100 | 22 |
| 46.77 | 1.942 | 43 |
| 49.22 | 1.851 | 25 |
| 58.33 | 1.582 | 14 |
| 64.86 | 1.437 | 17 |
| 69.98 | 1.344 | 20 |

```
TmCo4As2
1.0
7.214 0.000 0.000
0.000 7.214 0.000
0.000 0.000 3.702
Tm Co As
2 8 4
Direct
0.000 0.000 0.000
0.500 0.500 0.500
0.083 0.349 0.500
0.151 0.583 0.000
0.349 0.083 0.500
0.417 0.849 0.000
0.583 0.151 0.000
0.651 0.917 0.500
0.849 0.417 0.000
0.917 0.651 0.500
0.220 0.780 0.500
0.280 0.280 0.000
0.720 0.720 0.000
0.780 0.220 0.500
```

Structure and simulated XRD peak list of Tb8AuSe4S3 (DFT lattice parameters and positions (PBE); Cu Kα (weighted mean of Kα1 and Kα2)).

Main lines, by angle (15° ≤ 2θ ≤ 90°):
| Position (°2θ) | d (Å) | I (rel.) |
| --- | --- | --- |
| 27.01 | 3.301 | 17 |
| 31.20 | 2.866 | 100 |
| 44.52 | 2.035 | 36 |
| 44.90 | 2.019 | 37 |
| 55.69 | 1.650 | 19 |
| 65.08 | 1.433 | 12 |
| 73.66 | 1.286 | 15 |
| 74.22 | 1.278 | 16 |
| 82.55 | 1.169 | 12 |
| 82.82 | 1.166 | 6 |

```
Tb8AuSe4S3
1.0
4.037 2.331 6.674
-4.037 2.331 6.674
0.000 -4.662 6.674
Tb Au Se S
8 1 4 3
Direct
0.239 0.749 0.749
0.242 0.242 0.242
0.251 0.251 0.761
0.251 0.761 0.251
0.749 0.239 0.749
0.749 0.749 0.239
0.758 0.758 0.758
0.761 0.251 0.251
0.500 0.500 0.500
0.000 0.000 0.000
0.000 0.500 0.500
0.500 0.000 0.500
0.500 0.500 0.000
0.000 0.000 0.500
0.000 0.500 0.000
0.500 0.000 0.000
```